The following is a theoretical powder diffractogram of PmPr3Er4. It was derived from a cell relaxed with GGA-PBE, using Cu Kα (weighted mean of Kα1 and Kα2).
Lines closer than 0.1° are merged.

Cell and atoms:
Cell: 10.2130 7.1987 7.1958 Å, 90.00 90.00 90.00°
Space group Pmna (No. 53)
Inequivalent atoms, fractional coordinates:
Pm (0.0000, 0.0000, 0.0000) [2 per cell]
Pr (0.0000, 0.5000, 0.5000) [2 per cell]
Pr (0.2500, 0.2488, 0.2500) [4 per cell]
Er (0.0000, 0.0000, 0.5000) [2 per cell]
Er (0.0000, 0.5000, 0.0000) [2 per cell]
Er (0.2500, 0.2496, 0.7500) [4 per cell]

Top 6 peaks for 2θ = 15–90°, sorted by position:
2θ = 30.4°, I 100, (2 2 0)
2θ = 35.1°, I 17, (4 0 0)
2θ = 35.3°, I 34, (0 2 2)
2θ = 50.7°, I 30, (4 2 2)
2θ = 60.1°, I 14, (6 2 0)
2θ = 60.3°, I 29, (2 4 2)